1.
Ba8SrB6N12: calculated powder diffractogram (λ = 1.5418 Å (Cu Kα)), based on a crystal structure in Alexandria, relaxed with PBE.
Lines closer than 0.1° are merged.

Most intense lines, 10 to 80 degrees two-theta, by angle:
2θ/deg, intensity
22.10, 57
24.74, 8
31.45, 100
38.77, 26
45.07, 20
50.74, 28
55.99, 31
62.12, 5
65.64, 10
70.18, 13
74.60, 15
78.92, 7

```
data_Ba8SrB6N12
_space_group_name_H-M_alt 'P 1'
_space_group_IT_number 1
_cell_length_a 8.0461
_cell_length_b 8.0461
_cell_length_c 8.0461
_cell_angle_alpha 90.00
_cell_angle_beta 90.00
_cell_angle_gamma 90.00
loop_
_space_group_symop_operation_xyz
'x,y,z'
loop_
_atom_site_label
_atom_site_fract_x
_atom_site_fract_y
_atom_site_fract_z
_atom_site_occupancy
Ba1 0.2380 0.2380 0.2380 1
Ba2 0.2380 0.2380 0.7620 1
Ba3 0.2380 0.7620 0.2380 1
Ba4 0.2380 0.7620 0.7620 1
Ba5 0.7620 0.2380 0.2380 1
Ba6 0.7620 0.2380 0.7620 1
Ba7 0.7620 0.7620 0.2380 1
Ba8 0.7620 0.7620 0.7620 1
Sr1 0.5000 0.5000 0.5000 1
B1 0.0000 0.0000 0.5000 1
B2 0.0000 0.5000 0.0000 1
B3 0.0000 0.5000 0.5000 1
B4 0.5000 0.0000 0.0000 1
B5 0.5000 0.0000 0.5000 1
B6 0.5000 0.5000 0.0000 1
N1 0.0000 0.0000 0.3324 1
N2 0.0000 0.0000 0.6676 1
N3 0.0000 0.3324 0.0000 1
N4 0.0000 0.6676 0.0000 1
N5 0.1690 0.5000 0.5000 1
N6 0.3324 0.0000 0.0000 1
N7 0.5000 0.1690 0.5000 1
N8 0.5000 0.5000 0.1690 1
N9 0.5000 0.5000 0.8310 1
N10 0.5000 0.8310 0.5000 1
N11 0.6676 0.0000 0.0000 1
N12 0.8310 0.5000 0.5000 1
```



2.
La3PmSm6Ho2: calculated powder diffractogram (λ = 1.5418 Å (Cu Kα)), based on a crystal structure in Alexandria, relaxed with PBE.
Lines closer than 0.1° are merged.

Most intense lines, 10 to 80 degrees two-theta, by angle:
2θ/deg, intensity
30.03, 100
34.81, 51
50.05, 36
59.46, 29
59.51, 14
62.41, 12
73.49, 6

```
data_La3PmSm6Ho2
_space_group_name_H-M_alt 'P 1'
_space_group_IT_number 1
_cell_length_a 6.3128
_cell_length_b 6.3128
_cell_length_c 12.0937
_cell_angle_alpha 95.01
_cell_angle_beta 95.01
_cell_angle_gamma 120.03
loop_
_space_group_symop_operation_xyz
'x,y,z'
loop_
_atom_site_label
_atom_site_fract_x
_atom_site_fract_y
_atom_site_fract_z
_atom_site_occupancy
La1 0.0000 0.0000 0.0000 1
La2 0.3330 0.6670 0.0000 1
La3 0.6670 0.3330 0.0000 1
Pm1 0.5000 0.5000 0.5000 1
Sm1 0.0844 0.4186 0.2554 1
Sm2 0.2472 0.2472 0.7447 1
Sm3 0.4186 0.0844 0.2554 1
Sm4 0.5814 0.9156 0.7446 1
Sm5 0.7528 0.7528 0.2553 1
Sm6 0.9156 0.5814 0.7446 1
Ho1 0.1668 0.8332 0.5000 1
Ho2 0.8332 0.1668 0.5000 1
```



3.
UGePd3: calculated powder diffractogram (λ = 1.5418 Å (Cu Kα)), based on a crystal structure in Alexandria, relaxed with PBE.
Lines closer than 0.1° are merged.

Most intense lines, 10 to 80 degrees two-theta, by angle:
2θ/deg, intensity
25.39, 23
26.41, 37
27.56, 49
33.50, 55
34.27, 45
36.84, 46
36.96, 47
38.54, 100
41.17, 56
42.69, 57
43.39, 34
43.78, 29

```
data_UGePd3
_space_group_name_H-M_alt 'P 1'
_space_group_IT_number 1
_cell_length_a 7.4717
_cell_length_b 6.7500
_cell_length_c 8.7837
_cell_angle_alpha 90.00
_cell_angle_beta 122.94
_cell_angle_gamma 90.00
loop_
_space_group_symop_operation_xyz
'x,y,z'
loop_
_atom_site_label
_atom_site_fract_x
_atom_site_fract_y
_atom_site_fract_z
_atom_site_occupancy
U1 0.1487 0.2483 0.1095 1
U2 0.1487 0.2517 0.6095 1
U3 0.8513 0.7483 0.3905 1
U4 0.8513 0.7517 0.8905 1
Ge1 0.2705 0.5535 0.9201 1
Ge2 0.2705 0.9465 0.4201 1
Ge3 0.7295 0.0535 0.5799 1
Ge4 0.7295 0.4465 0.0799 1
Pd1 0.1205 0.5832 0.2712 1
Pd2 0.1205 0.9168 0.7712 1
Pd3 0.2983 0.6484 0.6420 1
Pd4 0.2983 0.8516 0.1420 1
Pd5 0.4381 0.1930 0.0058 1
Pd6 0.4381 0.3070 0.5058 1
Pd7 0.5619 0.6930 0.4942 1
Pd8 0.5619 0.8070 0.9942 1
Pd9 0.7017 0.1484 0.8580 1
Pd10 0.7017 0.3516 0.3580 1
Pd11 0.8795 0.0832 0.2288 1
Pd12 0.8795 0.4168 0.7288 1
```



4.
AcLa4SmEr2: calculated powder diffractogram (λ = 1.5418 Å (Cu Kα)), based on a crystal structure in Alexandria, relaxed with PBE.
Lines closer than 0.1° are merged.

Most intense lines, 10 to 80 degrees two-theta, by angle:
2θ/deg, intensity
29.55, 100
34.03, 17
34.15, 17
34.56, 17
48.98, 12
49.23, 6
49.36, 18
58.17, 15
58.33, 15
58.86, 14
61.33, 13
79.48, 6

```
data_AcLa4SmEr2
_space_group_name_H-M_alt 'P 1'
_space_group_IT_number 1
_cell_length_a 11.6522
_cell_length_b 5.2508
_cell_length_c 10.5376
_cell_angle_alpha 90.00
_cell_angle_beta 117.00
_cell_angle_gamma 90.00
loop_
_space_group_symop_operation_xyz
'x,y,z'
loop_
_atom_site_label
_atom_site_fract_x
_atom_site_fract_y
_atom_site_fract_z
_atom_site_occupancy
Ac1 0.0000 0.0000 0.0000 1
Ac2 0.5000 0.5000 0.0000 1
La1 0.2468 0.0000 0.8701 1
La2 0.2489 0.5000 0.6226 1
La3 0.2511 0.0000 0.3774 1
La4 0.2532 0.5000 0.1299 1
La5 0.7468 0.5000 0.8701 1
La6 0.7489 0.0000 0.6226 1
La7 0.7511 0.5000 0.3774 1
La8 0.7532 0.0000 0.1299 1
Sm1 0.0000 0.0000 0.5000 1
Sm2 0.5000 0.5000 0.5000 1
Er1 0.9996 0.5000 0.2552 1
Er2 0.0004 0.5000 0.7448 1
Er3 0.4996 0.0000 0.2552 1
Er4 0.5004 0.0000 0.7448 1
```



5.
YTm5Ru4: calculated powder diffractogram (λ = 1.5418 Å (Cu Kα)), based on a crystal structure in Alexandria, relaxed with PBE.
Lines closer than 0.1° are merged.

Most intense lines, 10 to 80 degrees two-theta, by angle:
2θ/deg, intensity
26.43, 15
28.38, 14
32.64, 20
35.71, 92
37.72, 100
39.17, 99
47.87, 13
54.41, 35
66.80, 29
67.23, 22
69.07, 37
79.75, 13

```
data_YTm5Ru4
_space_group_name_H-M_alt 'P 1'
_space_group_IT_number 1
_cell_length_a 3.3725
_cell_length_b 3.3725
_cell_length_c 18.8680
_cell_angle_alpha 90.00
_cell_angle_beta 90.00
_cell_angle_gamma 90.00
loop_
_space_group_symop_operation_xyz
'x,y,z'
loop_
_atom_site_label
_atom_site_fract_x
_atom_site_fract_y
_atom_site_fract_z
_atom_site_occupancy
Y1 0.0000 0.0000 0.0000 1
Tm1 0.5000 0.5000 0.1481 1
Tm2 0.5000 0.5000 0.3237 1
Tm3 0.5000 0.5000 0.5000 1
Tm4 0.5000 0.5000 0.6763 1
Tm5 0.5000 0.5000 0.8519 1
Ru1 0.0000 0.0000 0.2290 1
Ru2 0.0000 0.0000 0.4110 1
Ru3 0.0000 0.0000 0.5890 1
Ru4 0.0000 0.0000 0.7710 1
```



6.
AcTh2S4: calculated powder diffractogram (λ = 1.5418 Å (Cu Kα)), based on a crystal structure in Alexandria, relaxed with PBE.
Lines closer than 0.1° are merged.

Most intense lines, 10 to 80 degrees two-theta, by angle:
2θ/deg, intensity
23.63, 100
23.94, 31
26.51, 40
26.63, 30
30.58, 35
32.66, 53
40.43, 40
42.64, 21
44.92, 32
45.25, 33
51.38, 26
52.99, 25

```
data_AcTh2S4
_space_group_name_H-M_alt 'P 1'
_space_group_IT_number 1
_cell_length_a 6.9918
_cell_length_b 6.9918
_cell_length_c 13.6623
_cell_angle_alpha 90.00
_cell_angle_beta 90.00
_cell_angle_gamma 146.46
loop_
_space_group_symop_operation_xyz
'x,y,z'
loop_
_atom_site_label
_atom_site_fract_x
_atom_site_fract_y
_atom_site_fract_z
_atom_site_occupancy
Ac1 0.1172 0.8828 0.7500 1
Ac2 0.8828 0.1172 0.2500 1
Th1 0.3631 0.6369 0.5614 1
Th2 0.3631 0.6369 0.9386 1
Th3 0.6369 0.3631 0.0614 1
Th4 0.6369 0.3631 0.4386 1
S1 0.0000 0.0000 0.0000 1
S2 0.0000 0.0000 0.5000 1
S3 0.2705 0.7295 0.1284 1
S4 0.2705 0.7295 0.3716 1
S5 0.4526 0.5474 0.7500 1
S6 0.5474 0.4526 0.2500 1
S7 0.7295 0.2705 0.6284 1
S8 0.7295 0.2705 0.8716 1
```



7.
Ba2B6PbO12: calculated powder diffractogram (λ = 1.5418 Å (Cu Kα)), based on a crystal structure in Alexandria, relaxed with PBE.
Lines closer than 0.1° are merged.

Most intense lines, 10 to 80 degrees two-theta, by angle:
2θ/deg, intensity
14.77, 76
23.30, 29
24.40, 89
27.22, 100
28.64, 26
34.00, 21
36.88, 38
37.43, 31
37.98, 30
42.29, 28
42.95, 24
44.72, 40

```
data_Ba2B6PbO12
_space_group_name_H-M_alt 'P 1'
_space_group_IT_number 1
_cell_length_a 13.4504
_cell_length_b 13.4504
_cell_length_c 13.4504
_cell_angle_alpha 31.47
_cell_angle_beta 31.47
_cell_angle_gamma 31.47
loop_
_space_group_symop_operation_xyz
'x,y,z'
loop_
_atom_site_label
_atom_site_fract_x
_atom_site_fract_y
_atom_site_fract_z
_atom_site_occupancy
Ba1 0.1493 0.1493 0.1493 1
Ba2 0.3507 0.3507 0.3507 1
Ba3 0.6493 0.6493 0.6493 1
Ba4 0.8507 0.8507 0.8507 1
B1 0.0007 0.2532 0.8668 1
B2 0.1332 0.9993 0.7468 1
B3 0.2468 0.4993 0.6332 1
B4 0.2532 0.8668 0.0007 1
B5 0.3668 0.7532 0.5007 1
B6 0.4993 0.6332 0.2468 1
B7 0.5007 0.3668 0.7532 1
B8 0.6332 0.2468 0.4993 1
B9 0.7468 0.1332 0.9993 1
B10 0.7532 0.5007 0.3668 1
B11 0.8668 0.0007 0.2532 1
B12 0.9993 0.7468 0.1332 1
Pb1 0.2500 0.2500 0.2500 1
Pb2 0.7500 0.7500 0.7500 1
O1 0.0329 0.5536 0.3010 1
O2 0.0536 0.5329 0.8010 1
O3 0.0793 0.8346 0.2102 1
O4 0.1654 0.7898 0.9207 1
O5 0.1990 0.9464 0.4671 1
O6 0.2102 0.0793 0.8346 1
O7 0.2898 0.6654 0.4207 1
O8 0.3010 0.0329 0.5536 1
O9 0.3346 0.5793 0.7102 1
O10 0.4207 0.2898 0.6654 1
O11 0.4464 0.6990 0.9671 1
O12 0.4671 0.1989 0.9464 1
O13 0.5329 0.8010 0.0536 1
O14 0.5536 0.3010 0.0329 1
O15 0.5793 0.7102 0.3346 1
O16 0.6654 0.4207 0.2898 1
O17 0.6990 0.9671 0.4464 1
O18 0.7102 0.3346 0.5793 1
O19 0.7898 0.9207 0.1654 1
O20 0.8010 0.0536 0.5329 1
O21 0.8346 0.2102 0.0793 1
O22 0.9207 0.1654 0.7898 1
O23 0.9464 0.4671 0.1990 1
O24 0.9671 0.4464 0.6990 1
```



8.
Ge7O23: calculated powder diffractogram (λ = 1.5418 Å (Cu Kα)), based on a crystal structure in Alexandria, relaxed with PBE.
Lines closer than 0.1° are merged.

Most intense lines, 10 to 80 degrees two-theta, by angle:
2θ/deg, intensity
11.42, 100
19.84, 15
28.21, 24
32.68, 20
34.73, 10
36.67, 15
38.53, 16
49.93, 7
52.83, 7
59.65, 9
62.25, 7
68.49, 9

```
data_Ge7O23
_space_group_name_H-M_alt 'P 1'
_space_group_IT_number 1
_cell_length_a 7.7498
_cell_length_b 7.7498
_cell_length_c 7.7498
_cell_angle_alpha 90.00
_cell_angle_beta 90.00
_cell_angle_gamma 90.00
loop_
_space_group_symop_operation_xyz
'x,y,z'
loop_
_atom_site_label
_atom_site_fract_x
_atom_site_fract_y
_atom_site_fract_z
_atom_site_occupancy
Ge1 0.0000 0.0000 0.5000 1
Ge2 0.0000 0.5000 0.0000 1
Ge3 0.1455 0.1455 0.1455 1
Ge4 0.1455 0.8545 0.8545 1
Ge5 0.5000 0.0000 0.0000 1
Ge6 0.8545 0.1455 0.8545 1
Ge7 0.8545 0.8545 0.1455 1
O1 0.0000 0.5000 0.5000 1
O2 0.1153 0.1153 0.8847 1
O3 0.1153 0.8847 0.1153 1
O4 0.1363 0.1363 0.3799 1
O5 0.1363 0.3799 0.1363 1
O6 0.1363 0.6201 0.8637 1
O7 0.1363 0.8637 0.6201 1
O8 0.2775 0.2775 0.7225 1
O9 0.2775 0.7225 0.2775 1
O10 0.3799 0.1363 0.1363 1
O11 0.3799 0.8637 0.8637 1
O12 0.5000 0.0000 0.5000 1
O13 0.5000 0.5000 0.0000 1
O14 0.6201 0.1363 0.8637 1
O15 0.6201 0.8637 0.1363 1
O16 0.7225 0.2775 0.2775 1
O17 0.7225 0.7225 0.7225 1
O18 0.8637 0.1363 0.6201 1
O19 0.8637 0.3799 0.8637 1
O20 0.8637 0.6201 0.1363 1
O21 0.8637 0.8637 0.3799 1
O22 0.8847 0.1153 0.1153 1
O23 0.8847 0.8847 0.8847 1
```